The following is a computed X-ray diffraction stick pattern of Li4Pa3PbO12. It was derived from a cell relaxed with PBE, using Cu Kα (weighted mean of Kα1 and Kα2).
Lines closer than 0.1° are merged.

Structural model:
Unit cell a=6.9799 b=6.9799 c=6.9799 alpha=106.51 beta=106.51 gamma=106.51
Positions (direct):
Li1 0.0000 0.0000 0.0000
Li2 0.0000 0.4488 0.5512
Li3 0.4488 0.5512 0.0000
Li4 0.5512 0.0000 0.4488
Pa1 0.0487 0.9513 0.5000
Pa2 0.5000 0.0487 0.9513
Pa3 0.9513 0.5000 0.0487
Pb1 0.5000 0.5000 0.5000
O1 0.0000 0.6129 0.3871
O2 0.0000 0.8385 0.1615
O3 0.1615 0.0000 0.8385
O4 0.1839 0.2842 0.5231
O5 0.2842 0.5231 0.1839
O6 0.3871 0.0000 0.6129
O7 0.4769 0.7158 0.8161
O8 0.5231 0.1839 0.2842
O9 0.6129 0.3871 0.0000
O10 0.7158 0.8161 0.4769
O11 0.8161 0.4769 0.7158
O12 0.8385 0.1615 0.0000

Principal peaks in the range 2θ from 15° to 90°, low angle first:
2θ/deg, I (rel.)
15.85, 28
21.49, 100
26.81, 15
29.07, 54
32.00, 22
35.26, 14
40.54, 20
47.28, 21